This entry pairs a crystal structure of La5Y4Mg with its theoretical powder XRD pattern. Radiation: Cu Kα. Structure: the GGA-PBE geometry in Alexandria.
Neutral-atom scattering factors, no anomalous dispersion.

Top 8 peaks for 10 to 80 degrees two-theta, most intense first:
2theta  intensity
30.11  100
33.69  39
58.06  30
51.08  20
48.39  14
37.23  12
62.60  11
62.78  8

Crystal structure
```
La5Y4Mg
1.0
3.7618 0.0000 0.0000
0.0000 3.7618 0.0000
0.0000 0.0000 24.1480
La Y Mg
5 4 1
Cartesian
0.0000 0.0000 0.0000
0.0000 0.0000 4.9314
0.0000 0.0000 9.9165
0.0000 0.0000 14.2315
0.0000 0.0000 19.2166
1.8809 1.8809 2.4691
1.8809 1.8809 7.4040
1.8809 1.8809 16.7440
1.8809 1.8809 21.6789
1.8809 1.8809 12.0740
```


This entry pairs a crystal structure of LaY2Mg with its theoretical powder XRD pattern. Radiation: Cu Kα. Structure: the GGA-PBE geometry in Alexandria.
Neutral-atom scattering factors, no anomalous dispersion.

Top 8 peaks for 10 to 80 degrees two-theta, most intense first:
2theta  intensity
32.03  100
32.25  26
30.55  23
27.95  19
57.36  18
15.14  14
55.24  12
24.17  11

Crystal structure
```
LaY2Mg
1.0
6.4716 -1.9400 0.0000
6.4716 1.9400 0.0000
-2.3694 0.0000 5.0210
La Y Mg
1 2 1
Cartesian
0.0000 0.0000 0.0000
5.8012 0.0000 2.7529
9.4213 0.0000 1.4061
1.6366 0.0000 3.8559
```


This entry pairs a crystal structure of La2Mg3Zn3 with its theoretical powder XRD pattern. Radiation: Cu Kα. Structure: the GGA-PBE geometry in Alexandria.
Neutral-atom scattering factors, no anomalous dispersion.

Top 8 peaks for 10 to 80 degrees two-theta, most intense first:
2theta  intensity
35.34  100
21.42  38
63.43  33
41.70  20
50.83  17
74.75  10
55.77  8
78.80  4

Crystal structure
```
La2Mg3Zn3
1.0
2.5389 1.4658 8.3046
-2.5389 1.4658 8.3046
0.0000 -2.9316 8.3046
La Mg Zn
2 3 3
Cartesian
0.0000 0.0000 0.0000
0.0000 0.0000 12.2107
0.0000 0.0000 6.0211
0.0000 0.0000 15.4043
0.0000 0.0000 18.6071
0.0000 0.0000 3.0289
0.0000 0.0000 9.0990
0.0000 0.0000 21.7785
```


This entry pairs a crystal structure of La2Mg16Zn with its theoretical powder XRD pattern. Radiation: Cu Kα. Structure: the GGA-PBE geometry in Alexandria.
Neutral-atom scattering factors, no anomalous dispersion.

Top 8 peaks for 10 to 80 degrees two-theta, most intense first:
2theta  intensity
35.07  100
24.69  73
34.93  71
30.13  68
17.26  66
35.80  31
15.34  26
35.47  26

Crystal structure
```
La2Mg16Zn
1.0
5.1370 2.9658 5.0615
-5.1370 2.9658 5.0615
0.0000 -5.9317 5.0615
La Mg Zn
2 16 1
Cartesian
0.0000 0.0000 0.0000
0.0000 0.0000 5.2203
0.0000 -2.9162 2.8302
-2.5255 1.4581 2.8302
-2.6094 -1.5065 7.6815
0.0000 -3.0062 7.4775
-2.6034 1.5031 7.4775
-1.5387 -2.6626 10.2178
-3.0752 -0.0012 10.2178
2.5255 1.4581 2.8302
0.0000 0.0000 8.9078
1.5387 -2.6626 10.2178
-1.5365 2.6638 10.2178
2.6094 -1.5065 7.6815
0.0000 3.0131 7.6815
2.6034 1.5031 7.4775
3.0752 -0.0012 10.2178
1.5365 2.6638 10.2178
0.0000 0.0000 11.8484
```